Computed powder X-ray diffraction pattern of Sr2MgTi6N2O11 for copper Kα, from a structure optimized by DFT (GGA-PBE).

Main lines, by angle (10 to 90 degrees two-theta):
2θ = 24.79°, d 3.591, intensity 27, (0 2 -1); 2θ = 29.20°, d 3.058, intensity 100, (1 -2 0); 2θ = 29.84°, d 2.995, intensity 30, (1 -2 1); 2θ = 32.36°, d 2.767, intensity 27, (0 1 3); 2θ = 36.15°, d 2.485, intensity 69, (1 -1 3); 2θ = 36.36°, d 2.471, intensity 26, (-1 2 2); 2θ = 42.08°, d 2.147, intensity 40, (0 2 -4); 2θ = 44.25°, d 2.047, intensity 54, (0 3 2); 2θ = 46.17°, d 1.966, intensity 60, (2 -1 0); 2θ = 65.87°, d 1.418, intensity 28, (-2 4 2)

a b c (Å): 3.9321 7.6375 9.6410
angles (deg): 98.27 90.00 104.91
Space group P1 (No. 1)
Symmetry-distinct sites (fractional):
Sr: 0.0000 0.0000 0.0000 (multiplicity 1)
Sr: 0.0213 0.0476 0.3600 (multiplicity 1)
Mg: 0.5890 0.1843 0.6472 (multiplicity 1)
Ti: 0.3025 0.6056 0.1043 (multiplicity 1)
Ti: 0.3555 0.7129 0.4310 (multiplicity 1)
Ti: 0.4027 0.8060 0.7658 (multiplicity 1)
Ti: 0.6715 0.3436 0.9304 (multiplicity 1)
Ti: 0.7024 0.4068 0.2818 (multiplicity 1)
Ti: 0.7827 0.5662 0.6163 (multiplicity 1)
N: 0.3063 0.6135 0.6050 (multiplicity 1)
N: 0.7151 0.4313 0.7675 (multiplicity 1)
O: 0.1713 0.3432 0.9833 (multiplicity 1)
O: 0.2303 0.4624 0.2928 (multiplicity 1)
O: 0.3758 0.7522 0.9490 (multiplicity 1)
O: 0.4081 0.8165 0.2374 (multiplicity 1)
O: 0.4778 0.9583 0.5212 (multiplicity 1)
O: 0.5424 0.0860 0.8399 (multiplicity 1)
O: 0.5899 0.1821 0.1788 (multiplicity 1)
O: 0.6600 0.3222 0.4720 (multiplicity 1)
O: 0.7747 0.5501 0.0990 (multiplicity 1)
O: 0.8427 0.6870 0.4131 (multiplicity 1)
O: 0.9100 0.8208 0.7452 (multiplicity 1)


Computed powder X-ray diffraction pattern of Sr2MgTi6N2O11 for copper Kα, from a structure optimized by DFT (GGA-PBE).

Main lines, by angle (10 to 90 degrees two-theta):
2θ = 24.88°, d 3.579, intensity 87, (4 0 -2); 2θ = 25.14°, d 3.542, intensity 39, (2 0 -3); 2θ = 28.59°, d 3.122, intensity 37, (1 1 -2); 2θ = 29.58°, d 3.020, intensity 100, (3 1 0); 2θ = 31.01°, d 2.883, intensity 57, (1 1 2); 2θ = 31.26°, d 2.861, intensity 96, (3 1 -2); 2θ = 32.62°, d 2.745, intensity 54, (3 1 1); 2θ = 33.41°, d 2.682, intensity 33, (2 0 -4); 2θ = 34.60°, d 2.593, intensity 38, (4 0 2); 2θ = 47.36°, d 1.919, intensity 72, (0 2 0)

a b c (Å): 15.5162 3.8391 10.7311
angles (deg): 90.00 109.16 90.00
Space group Cm (No. 8)
Symmetry-distinct sites (fractional):
Sr: 0.0000 0.0000 0.0000 (multiplicity 2)
Sr: 0.0554 0.0000 0.5806 (multiplicity 2)
Mg: 0.3484 0.5000 0.2408 (multiplicity 2)
Ti: 0.1488 0.5000 0.3105 (multiplicity 2)
Ti: 0.1511 0.5000 0.8928 (multiplicity 2)
Ti: 0.2446 0.5000 0.6346 (multiplicity 2)
Ti: 0.2999 0.0000 0.0274 (multiplicity 2)
Ti: 0.3116 0.0000 0.4482 (multiplicity 2)
Ti: 0.3945 0.0000 0.7298 (multiplicity 2)
N: 0.1666 0.5000 0.7311 (multiplicity 2)
N: 0.2659 0.0000 0.5903 (multiplicity 2)
O: 0.0262 0.5000 0.8522 (multiplicity 2)
O: 0.0577 0.5000 0.1616 (multiplicity 2)
O: 0.1156 0.5000 0.4584 (multiplicity 2)
O: 0.1634 0.0000 0.9457 (multiplicity 2)
O: 0.1862 0.0000 0.3052 (multiplicity 2)
O: 0.2780 0.5000 0.0471 (multiplicity 2)
O: 0.3059 0.5000 0.3967 (multiplicity 2)
O: 0.3655 0.0000 0.2198 (multiplicity 2)
O: 0.3735 0.0000 0.9313 (multiplicity 2)
O: 0.3809 0.5000 0.7491 (multiplicity 2)
O: 0.4368 0.0000 0.5719 (multiplicity 2)


Computed powder X-ray diffraction pattern of Sr2MgTi6N2O11 for copper Kα, from a structure optimized by DFT (GGA-PBE).

Main lines, by angle (10 to 90 degrees two-theta):
2θ = 18.90°, d 4.695, intensity 47, (0 0 2); 2θ = 29.02°, d 3.077, intensity 96, (3 1 0); 2θ = 29.80°, d 2.998, intensity 100, (3 1 -1); 2θ = 30.00°, d 2.978, intensity 44, (1 1 -2); 2θ = 31.33°, d 2.855, intensity 39, (3 1 1); 2θ = 32.22°, d 2.778, intensity 49, (4 0 2); 2θ = 35.33°, d 2.540, intensity 39, (6 0 -1); 2θ = 42.38°, d 2.133, intensity 71, (4 0 -4); 2θ = 42.72°, d 2.116, intensity 39, (6 0 2); 2θ = 47.00°, d 1.934, intensity 76, (0 2 0)

a b c (Å): 15.3812 3.8670 9.4794
angles (deg): 90.00 97.84 90.00
Space group Cm (No. 8)
Symmetry-distinct sites (fractional):
Sr: 0.0000 0.0000 0.0000 (multiplicity 2)
Sr: 0.0876 0.0000 0.5196 (multiplicity 2)
Mg: 0.2622 0.0000 0.7611 (multiplicity 2)
Ti: 0.1638 0.5000 0.8867 (multiplicity 2)
Ti: 0.2123 0.5000 0.2240 (multiplicity 2)
Ti: 0.2836 0.5000 0.5432 (multiplicity 2)
Ti: 0.3218 0.0000 0.0609 (multiplicity 2)
Ti: 0.3737 0.0000 0.3848 (multiplicity 2)
Ti: 0.4346 0.0000 0.6885 (multiplicity 2)
N: 0.2112 0.5000 0.7121 (multiplicity 2)
N: 0.3140 0.0000 0.5705 (multiplicity 2)
O: 0.0456 0.5000 0.8267 (multiplicity 2)
O: 0.1120 0.5000 0.1075 (multiplicity 2)
O: 0.1760 0.5000 0.4106 (multiplicity 2)
O: 0.1872 0.0000 0.9228 (multiplicity 2)
O: 0.2482 0.0000 0.2333 (multiplicity 2)
O: 0.2870 0.5000 0.0528 (multiplicity 2)
O: 0.3501 0.5000 0.3641 (multiplicity 2)
O: 0.3759 0.0000 0.8918 (multiplicity 2)
O: 0.4217 0.0000 0.1834 (multiplicity 2)
O: 0.4314 0.5000 0.6888 (multiplicity 2)
O: 0.4861 0.0000 0.5013 (multiplicity 2)